(1)
The following is a calculated X-ray diffraction stick pattern of Sr2Mg5Tl4. It was derived from the PBE geometry in Alexandria, using a wavelength of 1.5418 Å.

Principal peaks in the range 15 to 90 degrees two-theta, by intensity:
Position (°2θ)  intensity
18.60  100
31.78  87
28.82  83
33.85  72
28.03  44
37.07  42
43.97  41
52.02  33
61.00  30
37.71  29

Structural model:
Unit cell a=10.9717 b=10.0599 c=6.2806 alpha=80.77 beta=64.83 gamma=34.40
Fractional positions:
Sr 0.1205 0.1205 0.8795
Sr 0.8795 0.8795 0.1205
Mg 0.0000 0.0000 0.5000
Mg 0.2500 0.2500 0.2500
Mg 0.5000 0.5000 0.0000
Mg 0.5000 0.5000 0.5000
Mg 0.7500 0.7500 0.7500
Tl 0.2114 0.5293 0.4707
Tl 0.4707 0.7886 0.2114
Tl 0.5293 0.2114 0.7886
Tl 0.7886 0.4707 0.5293

(2)
The following is a calculated X-ray diffraction stick pattern of Sr2AlAg. It was derived from the PBE geometry in Alexandria, using a wavelength of 1.5418 Å.

Principal peaks in the range 15 to 90 degrees two-theta, by intensity:
Position (°2θ)  intensity
33.48  100
59.86  36
48.08  18
80.20  15
70.36  11
20.32  10
23.51  9
39.48  5
89.76  4
54.19  3

Structural model:
Unit cell a=5.3525 b=5.3525 c=5.3525 alpha=60.00 beta=60.00 gamma=60.00
Fractional positions:
Sr 0.0000 0.0000 0.0000
Sr 0.2500 0.2500 0.2500
Al 0.7500 0.7500 0.7500
Ag 0.5000 0.5000 0.5000

(3)
The following is a calculated X-ray diffraction stick pattern of Ac5Au6. It was derived from the PBE geometry in Alexandria, using a wavelength of 1.5418 Å.

Principal peaks in the range 15 to 90 degrees two-theta, by intensity:
Position (°2θ)  intensity
31.35  100
40.02  57
31.50  55
32.44  50
43.90  27
23.35  25
41.53  22
30.61  21
33.74  20
60.32  18

Structural model:
Unit cell a=8.7756 b=8.7756 c=5.8981 alpha=102.35 beta=102.35 gamma=53.51
Fractional positions:
Ac 0.0000 0.0000 0.0000
Ac 0.1910 0.1910 0.6196
Ac 0.3899 0.3899 0.2112
Ac 0.6101 0.6101 0.7888
Ac 0.8090 0.8090 0.3804
Au 0.0009 0.6223 0.8638
Au 0.1936 0.8064 0.5000
Au 0.3777 0.9991 0.1362
Au 0.6223 0.0009 0.8638
Au 0.8064 0.1936 0.5000
Au 0.9991 0.3777 0.1362

(4)
The following is a calculated X-ray diffraction stick pattern of KRb2V2S6. It was derived from the PBE geometry in Alexandria, using a wavelength of 1.5418 Å.

Principal peaks in the range 15 to 90 degrees two-theta, by intensity:
Position (°2θ)  intensity
31.54  100
24.34  68
22.36  59
40.23  42
29.05  40
33.29  39
60.21  38
49.88  37
20.87  31
26.53  21

Structural model:
Unit cell a=9.5015 b=9.5015 c=9.5015 alpha=45.27 beta=45.27 gamma=45.27
Fractional positions:
K 0.0000 0.0000 0.0000
Rb 0.2125 0.2125 0.2125
Rb 0.7875 0.7875 0.7875
V 0.4435 0.4435 0.4435
V 0.5565 0.5565 0.5565
S 0.2484 0.7363 0.7363
S 0.2637 0.2637 0.7516
S 0.2637 0.7516 0.2637
S 0.7363 0.2484 0.7363
S 0.7363 0.7363 0.2484
S 0.7516 0.2637 0.2637

(5)
The following is a calculated X-ray diffraction stick pattern of MnReIr. It was derived from the PBE geometry in Alexandria, using a wavelength of 1.5418 Å.

Principal peaks in the range 15 to 90 degrees two-theta, by intensity:
Position (°2θ)  intensity
41.02  100
47.73  49
84.28  38
69.80  31
15.49  22
34.20  16
88.98  11
31.27  6
50.50  5
58.19  4

Structural model:
Unit cell a=6.0299 b=6.0299 c=6.0299 alpha=154.19 beta=154.19 gamma=36.83
Fractional positions:
Mn 0.0000 0.0000 0.0000
Re 0.3347 0.3347 0.0000
Ir 0.6649 0.6649 0.0000

(6)
The following is a calculated X-ray diffraction stick pattern of Tm3Ag3SbS8. It was derived from the PBE geometry in Alexandria, using a wavelength of 1.5418 Å.

Principal peaks in the range 15 to 90 degrees two-theta, by intensity:
Position (°2θ)  intensity
32.40  100
27.89  70
46.27  54
32.50  50
46.81  34
28.28  23
57.67  18
46.68  17
76.85  15
16.05  14

Structural model:
Unit cell a=7.7630 b=7.7630 c=7.7844 alpha=119.37 beta=119.37 gamma=60.75
Fractional positions:
Tm 0.0000 0.0000 0.0000
Tm 0.0000 0.5000 0.5000
Tm 0.5000 0.0000 0.5000
Ag 0.0000 0.5000 0.0000
Ag 0.5000 0.0000 0.0000
Ag 0.5000 0.5000 0.5000
Sb 0.5000 0.5000 0.0000
S 0.2449 0.2449 0.2565
S 0.2534 0.7401 0.7613
S 0.2600 0.2600 0.7520
S 0.2599 0.7466 0.2387
S 0.7401 0.2534 0.7613
S 0.7400 0.7400 0.2480
S 0.7466 0.2599 0.2387
S 0.7551 0.7551 0.7435

(7)
The following is a calculated X-ray diffraction stick pattern of Ho3URu4. It was derived from the PBE geometry in Alexandria, using a wavelength of 1.5418 Å.

Principal peaks in the range 15 to 90 degrees two-theta, by intensity:
Position (°2θ)  intensity
37.66  100
67.98  35
54.32  17
80.42  11
26.39  9
61.38  4
46.57  3
86.43  2
18.58  2
32.47  1

Structural model:
Unit cell a=5.8502 b=5.8502 c=5.8502 alpha=109.47 beta=109.47 gamma=109.47
Fractional positions:
Ho 0.0000 0.5000 0.5000
Ho 0.5000 0.0000 0.5000
Ho 0.5000 0.5000 0.0000
U 0.0000 0.0000 0.0000
Ru 0.0000 0.0000 0.5000
Ru 0.0000 0.5000 0.0000
Ru 0.5000 0.0000 0.0000
Ru 0.5000 0.5000 0.5000

(8)
The following is a calculated X-ray diffraction stick pattern of SmTm2IrO8. It was derived from the PBE geometry in Alexandria, using a wavelength of 1.5418 Å.

Principal peaks in the range 15 to 90 degrees two-theta, by intensity:
Position (°2θ)  intensity
25.12  100
31.84  92
48.67  69
35.82  27
61.88  19
58.18  17
60.48  17
51.55  17
73.61  16
84.66  13

Structural model:
Unit cell a=5.0140 b=5.0140 c=6.7887 alpha=90.00 beta=90.00 gamma=90.03
Fractional positions:
Sm 0.0000 0.0000 0.0000
Tm 0.5000 0.5000 0.2485
Tm 0.5000 0.5000 0.7515
Ir 0.0000 0.0000 0.5000
O 0.1879 0.1879 0.2936
O 0.1879 0.1879 0.7064
O 0.2711 0.7289 0.5000
O 0.3150 0.6850 0.0000
O 0.6850 0.3150 0.0000
O 0.7289 0.2711 0.5000
O 0.8121 0.8121 0.2936
O 0.8121 0.8121 0.7064

(9)
The following is a calculated X-ray diffraction stick pattern of YPu2Rh2. It was derived from the PBE geometry in Alexandria, using a wavelength of 1.5418 Å.

Principal peaks in the range 15 to 90 degrees two-theta, by intensity:
Position (°2θ)  intensity
34.91  100
38.07  84
52.60  31
66.76  31
24.27  28
60.47  17
68.79  15
86.13  13
16.11  10
81.42  10

Structural model:
Unit cell a=6.1426 b=6.1426 c=6.1426 alpha=45.27 beta=45.27 gamma=45.27
Fractional positions:
Y 0.0000 0.0000 0.0000
Pu 0.2105 0.2105 0.2105
Pu 0.7895 0.7895 0.7895
Rh 0.4012 0.4012 0.4012
Rh 0.5988 0.5988 0.5988

(10)
The following is a calculated X-ray diffraction stick pattern of Zr2SbSe6. It was derived from the PBE geometry in Alexandria, using a wavelength of 1.5418 Å.

Principal peaks in the range 15 to 90 degrees two-theta, by intensity:
Position (°2θ)  intensity
32.21  100
31.23  52
44.05  38
46.86  33
27.30  25
44.49  19
58.25  17
47.85  16
41.06  14
67.39  11

Structural model:
Unit cell a=9.2305 b=9.2305 c=8.1756 alpha=107.55 beta=107.55 gamma=23.77
Fractional positions:
Zr 0.1712 0.1712 0.3396
Zr 0.8288 0.8288 0.6604
Sb 0.5000 0.5000 0.0000
Se 0.0116 0.0116 0.2542
Se 0.3273 0.3273 0.4198
Se 0.3375 0.3375 0.9011
Se 0.6625 0.6625 0.0989
Se 0.6727 0.6727 0.5802
Se 0.9884 0.9884 0.7458

(11)
The following is a calculated X-ray diffraction stick pattern of MnAsHPd2. It was derived from the PBE geometry in Alexandria, using a wavelength of 1.5418 Å.

Principal peaks in the range 15 to 90 degrees two-theta, by intensity:
Position (°2θ)  intensity
38.86  100
45.87  31
80.13  23
65.25  21
43.76  18
77.10  13
83.40  10
66.88  10
21.48  7
31.99  5

Structural model:
Unit cell a=3.9568 b=3.9568 c=4.1378 alpha=90.00 beta=90.00 gamma=90.00
Fractional positions:
Mn 0.0000 0.0000 0.0000
As 0.5000 0.5000 0.0000
H 0.0000 0.0000 0.5000
Pd 0.0000 0.5000 0.5000
Pd 0.5000 0.0000 0.5000

(12)
The following is a calculated X-ray diffraction stick pattern of Al8Ag3. It was derived from the PBE geometry in Alexandria, using a wavelength of 1.5418 Å.

Principal peaks in the range 15 to 90 degrees two-theta, by intensity:
Position (°2θ)  intensity
25.73  100
42.64  98
50.47  45
78.06  29
20.95  26
33.41  24
68.16  18
61.89  15
36.71  13
83.82  13

Structural model:
Unit cell a=5.9972 b=5.9972 c=5.9972 alpha=90.00 beta=90.00 gamma=90.00
Fractional positions:
Al 0.2337 0.2337 0.2337
Al 0.2337 0.2337 0.7663
Al 0.2337 0.7663 0.2337
Al 0.2337 0.7663 0.7663
Al 0.7663 0.2337 0.2337
Al 0.7663 0.2337 0.7663
Al 0.7663 0.7663 0.2337
Al 0.7663 0.7663 0.7663
Ag 0.0000 0.5000 0.5000
Ag 0.5000 0.0000 0.5000
Ag 0.5000 0.5000 0.0000

(13)
The following is a calculated X-ray diffraction stick pattern of Ho4Si2Bi. It was derived from the PBE geometry in Alexandria, using a wavelength of 1.5418 Å.

Principal peaks in the range 15 to 90 degrees two-theta, by intensity:
Position (°2θ)  intensity
36.03  100
30.32  72
30.03  71
26.92  68
19.06  47
49.92  25
47.46  23
45.60  22
38.68  21
49.56  19

Structural model:
Unit cell a=8.0960 b=8.0960 c=8.0960 alpha=109.79 beta=109.79 gamma=108.83
Fractional positions:
Ho 0.2140 0.2848 0.5708
Ho 0.2140 0.6432 0.9292
Ho 0.2848 0.2140 0.0708
Ho 0.3568 0.7860 0.5708
Ho 0.6432 0.2140 0.4292
Ho 0.7152 0.7860 0.9292
Ho 0.7860 0.3568 0.0708
Ho 0.7860 0.7152 0.4292
Si 0.0000 0.5000 0.5000
Si 0.5000 0.0000 0.0000
Si 0.5000 0.5000 0.0000
Si 0.5000 0.5000 0.5000
Bi 0.1250 0.8750 0.2500
Bi 0.8750 0.1250 0.7500

(14)
The following is a calculated X-ray diffraction stick pattern of AgPt5. It was derived from the PBE geometry in Alexandria, using a wavelength of 1.5418 Å.

Principal peaks in the range 15 to 90 degrees two-theta, by intensity:
Position (°2θ)  intensity
42.23  100
41.42  66
37.84  49
37.54  32
79.19  22
54.36  22
71.35  21
66.56  18
83.15  18
80.85  17

Structural model:
Unit cell a=4.7551 b=7.4854 c=7.4854 alpha=21.14 beta=90.00 gamma=90.00
Fractional positions:
Ag 0.0000 0.0000 0.0000
Pt 0.0000 0.3320 0.3320
Pt 0.0000 0.6681 0.6681
Pt 0.5000 0.1043 0.1043
Pt 0.5000 0.4358 0.4358
Pt 0.5000 0.7708 0.7708